# 1
For LaTaBiAu2, the PBE geometry in Alexandria gives the simulated powder diffractogram in this record (Cu Kα (λ = 1.5418 Å)).
Peak positions follow from Bragg's law for the DFT cell and can differ from measured ones.

Cell: 5.316 5.316 5.385 Å, 90.00 90.00 90.00°
Space group P4/mmm (No. 123)
Unique sites:
La1 0.000 0.000 0.000
Ta1 0.500 0.500 0.000
Bi1 0.500 0.500 0.500
Au1 0.000 0.500 0.500

Top 10 peaks for 5 to 70 degrees two-theta, by angle:
hkl	d [Å]	2θ/deg	I_rel
0 0 1	5.385	16.5	260
1 0 0	5.316	16.7	390
1 0 1	3.783	23.5	160
1 1 1	3.082	29.0	896
0 0 2	2.692	33.3	518
2 0 0	2.658	33.7	1000
2 0 2	1.891	48.1	749
2 2 0	1.879	48.4	367
3 1 1	1.605	57.4	264
2 2 2	1.541	60.0	389



# 2
For CaLaAs2O8, the PBE geometry in Alexandria gives the simulated powder diffractogram in this record (Cu Kα (λ = 1.5418 Å)).
Peak positions follow from Bragg's law for the DFT cell and can differ from measured ones.

Cell: 5.201 5.201 11.859 Å, 90.00 90.00 90.00°
Space group I-4 (No. 82)
Unique sites:
Ca1 0.000 0.000 0.000
La1 0.000 0.500 0.250
As1 0.000 0.000 0.500
As2 0.000 0.500 0.750
O1 0.132 0.748 0.828
O2 0.137 0.246 0.423

Top 10 peaks for 5 to 70 degrees two-theta, by angle:
hkl	d [Å]	2θ/deg	I_rel
0 0 2	5.930	14.9	86
1 0 1	4.763	18.6	105
1 1 2	3.125	28.6	1000
0 0 4	2.965	30.1	155
2 0 0	2.600	34.5	180
2 0 4	1.955	46.4	295
2 2 0	1.839	49.6	114
1 1 6	1.741	52.6	175
1 3 2	1.585	58.2	259
2 2 4	1.563	59.1	119



# 3
For Ac4IrPd, the PBE geometry in Alexandria gives the simulated powder diffractogram in this record (Cu Kα (λ = 1.5418 Å)).
Peak positions follow from Bragg's law for the DFT cell and can differ from measured ones.

Cell: 8.870 16.927 7.510 Å, 90.00 126.07 90.00°
Space group C2/c (No. 15)
Unique sites:
Ac1 0.236 0.191 0.242
Ac2 0.242 0.053 0.742
Ir1 0.000 0.074 0.250
Pd1 0.000 0.423 0.750

Top 10 peaks for 5 to 70 degrees two-theta, by angle:
hkl	d [Å]	2θ/deg	I_rel
0 2 0	8.464	10.5	159
0 2 1	4.933	18.0	176
2 0 -2	3.581	24.9	374
0 4 1	3.472	25.7	351
2 4 -1	3.062	29.2	1000
0 0 2	3.035	29.4	513
4 0 -2	2.217	40.7	299
2 4 -3	2.155	41.9	756
0 8 0	2.116	42.7	155
0 8 2	1.736	52.7	169



# 4
For NaPm2Hg5, the PBE geometry in Alexandria gives the simulated powder diffractogram in this record (Cu Kα (λ = 1.5418 Å)).
Peak positions follow from Bragg's law for the DFT cell and can differ from measured ones.

Cell: 5.306 5.306 14.773 Å, 90.00 90.00 90.00°
Space group I4/mmm (No. 139)
Unique sites:
Na1 0.000 0.000 0.000
Pm1 0.000 0.000 0.263
Hg1 0.000 0.000 0.500
Hg2 0.000 0.500 0.122

Top 10 peaks for 5 to 70 degrees two-theta, by angle:
hkl	d [Å]	2θ/deg	I_rel
1 0 1	4.994	17.8	113
1 1 0	3.752	23.7	56
2 0 0	2.653	33.8	525
1 1 4	2.632	34.1	1000
1 0 5	2.581	34.8	48
2 1 1	2.343	38.4	34
2 2 0	1.876	48.5	192
0 0 8	1.848	49.3	119
3 1 4	1.528	60.6	387
2 0 8	1.516	61.1	183